# Y3Th2Sc
Computed PXRD pattern, CuKα. Input: a cell relaxed with GGA-PBE.

Peak list (6 most intense, 10° ≤ 2θ ≤ 80°, sorted by position)
12.32°, I = 17, (1 0 1); 31.02°, I = 100, (2 0 -3); 31.34°, I = 32, (2 0 3); 35.92°, I = 45, (0 1 3); 36.34°, I = 21, (4 0 0); 51.85°, I = 15, (4 1 -3)

```
data_Y3Th2Sc
_chemical_formula_sum 'Y6 Th4 Sc2'
_cell_length_a 9.889
_cell_length_b 3.555
_cell_length_c 10.549
_cell_angle_alpha 90.00
_cell_angle_beta 90.50
_cell_angle_gamma 90.00
_space_group_name_H-M_alt 'P 1 21/m 1'
_space_group_IT_number 11
loop_
_space_group_symop_operation_xyz
'x,y,z'
'-x,-y,-z'
'-x,y+1/2,-z'
'x,-y+1/2,z'
loop_
_atom_site_label
_atom_site_fract_x
_atom_site_fract_y
_atom_site_fract_z
Y1 0.121 0.250 0.251
Y2 0.141 0.250 0.916
Y3 0.374 0.750 0.416
Th1 0.129 0.250 0.585
Th2 0.386 0.750 0.087
Sc1 0.374 0.750 0.749
```